Diffraction record for ScCoGe. The powder X-ray diffraction pattern is simulated, not measured: it uses a DFT-relaxed cell (GGA-PBE, the Materials Project) and a wavelength of 1.5418 Å.

Largest 10 diffraction maxima, sorted by position, 15° ≤ 2θ ≤ 90°:
| 2theta | d [Å] | I_rel | h k l |
| --- | --- | --- | --- |
| 18.57 | 4.778 | 28 | 1 0 1 |
| 36.43 | 2.466 | 45 | 1 1 2 |
| 37.69 | 2.387 | 100 | 2 1 1 |
| 43.79 | 2.067 | 33 | 3 0 1 |
| 44.46 | 2.038 | 63 | 0 1 3 |
| 44.59 | 2.032 | 46 | 0 2 0 |
| 46.72 | 1.944 | 15 | 1 1 3 |
| 49.45 | 1.843 | 24 | 3 0 2 |
| 64.28 | 1.449 | 22 | 3 2 1 |
| 72.99 | 1.296 | 19 | 3 1 4 |

Structural model:
a b c (Å): 6.485 4.065 7.066
angles (deg): 90.00 90.00 90.00
Space group Pnma (No. 62)
One atom of each set of equivalent atoms:
Sc (0.001, 0.250, 0.200) x4
Co (0.154, 0.750, 0.439) x4
Ge (0.214, 0.250, 0.609) x4